Theoretical powder diffraction line list of Ba3MgNb2ZnO9 for Cu Kα, 1.54184 Å, from a cell relaxed with GGA-PBE.
Kinematic intensities with the Lorentz-polarization factor, no thermal factor.

Principal peaks in the range 5 to 70 degrees two-theta, sorted by position:
d = 9.486 Å, 2θ = 9.32°, I 89
d = 4.743 Å, 2θ = 18.71°, I 16
d = 3.487 Å, 2θ = 25.54°, I 37
d = 3.432 Å, 2θ = 25.97°, I 22
d = 2.936 Å, 2θ = 30.44°, I 100
d = 2.698 Å, 2θ = 33.20°, I 44
d = 2.660 Å, 2θ = 33.70°, I 19
d = 2.233 Å, 2θ = 40.40°, I 23
d = 2.000 Å, 2θ = 45.35°, I 17
d = 1.972 Å, 2θ = 46.01°, I 27
d = 1.696 Å, 2θ = 54.06°, I 13
d = 1.467 Å, 2θ = 63.40°, I 12

Structure:
Cell lengths 5.8691, 5.8691, 9.4878 Å; angles 91.01, 91.01, 60.12 degrees
Atoms (fractional coordinates):
Ba1 0.0000 0.0000 0.0000
Ba2 0.3277 0.3277 0.7564
Ba3 0.6552 0.6552 0.5118
Mg1 0.3205 0.3205 0.3998
Nb1 0.6644 0.6644 0.8931
Nb2 0.9908 0.9908 0.6118
Zn1 0.3356 0.3356 0.1248
O1 0.1502 0.1502 0.5009
O2 0.1498 0.6581 0.5079
O3 0.3264 0.8289 0.7481
O4 0.5005 0.5005 0.9921
O5 0.5005 0.9949 0.9924
O6 0.6581 0.1498 0.5079
O7 0.8279 0.8279 0.7512
O8 0.8289 0.3264 0.7481
O9 0.9949 0.5005 0.9924